Diffraction record for PaMn2RhO6. The X-ray powder pattern is theoretical, not measured: it uses a structure optimized by DFT (PBE+U) and CuKα.
Neutral-atom scattering factors, no anomalous dispersion.

Crystal structure
Lattice parameters (Å, degrees): 5.5104 5.6072 9.7043 90.00 124.44 90.00
Atoms (fractional coordinates):
Pa 0.0000 0.0000 0.0000
Pa 0.0000 0.5000 0.5000
Mn 0.2526 0.0390 0.7511
Mn 0.2526 0.4610 0.2511
Mn 0.7474 0.5390 0.7489
Mn 0.7474 0.9610 0.2489
Rh 0.5000 0.0000 0.5000
Rh 0.5000 0.5000 0.0000
O 0.1161 0.1736 0.4330
O 0.1161 0.3264 0.9330
O 0.2647 0.6854 0.4338
O 0.2647 0.8146 0.9338
O 0.3880 0.0841 0.2603
O 0.3880 0.4159 0.7603
O 0.6120 0.5841 0.2397
O 0.6120 0.9159 0.7397
O 0.7353 0.1854 0.0662
O 0.7353 0.3146 0.5662
O 0.8839 0.6736 0.0670
O 0.8839 0.8264 0.5670

Principal peaks in the range 2θ from 5° to 70°, by angle:
19.3°, I 102, hkl 0 1 1
22.2°, I 153, hkl 0 0 2
22.6°, I 289, hkl 1 1 -1
31.9°, I 1000, hkl 1 1 1
32.5°, I 183, hkl 2 0 -2
46.2°, I 174, hkl 2 2 -2
56.8°, I 128, hkl 2 0 2
56.9°, I 130, hkl 2 0 -6